Computed powder diffractogram of CdIn2I for Cu Kα (λ = 1.5418 Å), from a crystal structure in Alexandria, relaxed with GGA-PBE.

Structural model:
```
data_CdIn2I
_chemical_formula_sum 'Cd3 In6 I3'
_cell_length_a 4.1039
_cell_length_b 4.1039
_cell_length_c 26.5650
_cell_angle_alpha 90.00
_cell_angle_beta 90.00
_cell_angle_gamma 120.00
_symmetry_space_group_name_H-M 'R 3 m'
_symmetry_Int_Tables_number 160
_symmetry_space_group_name_Hall 'R 3 -2"'
loop_
_atom_site_label
_atom_site_fract_x
_atom_site_fract_y
_atom_site_fract_z
_atom_site_occupancy
Cd1 0.0000 0.0000 0.0000 1
In1 0.0000 0.0000 0.4094 1
In2 0.0000 0.0000 0.5907 1
I1 0.0000 0.0000 0.1697 1
```

The 12 most intense peaks (5 to 70 degrees two-theta), sorted by position:
2theta  I (rel.)
25.28  10.8
25.95  26.4
28.48  13.5
30.26  100.0
34.58  43.6
40.76  15.3
42.48  18.3
44.14  42.7
54.45  20.3
57.24  9.8
61.63  28.4
65.22  11.8

---

Computed powder diffractogram of CdIn4I5 for Cu Kα (λ = 1.5418 Å), from a crystal structure in Alexandria, relaxed with GGA-PBE.

Structural model:
```
data_CdIn4I5
_chemical_formula_sum 'Cd2 In8 I10'
_cell_length_a 10.9773
_cell_length_b 10.9773
_cell_length_c 6.8497
_cell_angle_alpha 90.00
_cell_angle_beta 90.00
_cell_angle_gamma 90.00
_symmetry_space_group_name_H-M 'I 4'
_symmetry_Int_Tables_number 79
_symmetry_space_group_name_Hall 'I 4'
loop_
_atom_site_label
_atom_site_fract_x
_atom_site_fract_y
_atom_site_fract_z
_atom_site_occupancy
Cd1 0.0000 0.0000 0.0000 1
In1 0.0946 0.6976 0.4979 1
I1 0.0000 0.0000 0.4998 1
I2 0.1015 0.7111 0.9980 1
```

The 12 most intense peaks (5 to 70 degrees two-theta), sorted by position:
2theta  I (rel.)
25.66  100.0
26.02  48.8
36.61  38.5
36.87  76.6
45.46  41.3
52.74  12.9
53.51  6.4
59.55  17.5
59.73  17.5
60.26  17.7
66.08  25.7
66.59  12.9

---

Computed powder diffractogram of Cd3In3I for Cu Kα (λ = 1.5418 Å), from a crystal structure in Alexandria, relaxed with GGA-PBE.

Structural model:
```
data_Cd3In3I
_chemical_formula_sum 'Cd6 In6 I2'
_cell_length_a 8.1985
_cell_length_b 8.1985
_cell_length_c 8.1985
_cell_angle_alpha 90.00
_cell_angle_beta 90.00
_cell_angle_gamma 90.00
_symmetry_space_group_name_H-M 'P m -3 n'
_symmetry_Int_Tables_number 223
_symmetry_space_group_name_Hall '-P 4n 2 3'
loop_
_atom_site_label
_atom_site_fract_x
_atom_site_fract_y
_atom_site_fract_z
_atom_site_occupancy
Cd1 0.0000 0.2500 0.5000 1
In1 0.0000 0.5000 0.2500 1
I1 0.0000 0.0000 0.0000 1
```

The 12 most intense peaks (5 to 70 degrees two-theta), sorted by position:
2theta  I (rel.)
15.28  16.2
21.68  41.6
26.63  100.0
34.60  4.5
38.02  32.9
41.20  61.3
44.19  33.0
49.74  17.5
52.34  14.9
62.00  17.7
64.27  20.7
68.69  8.1